# 1
For Cs11K17Rb, a crystal structure in Alexandria, relaxed with PBE gives the simulated powder diffraction line list in this record (CuKα).
Peak positions follow from Bragg's law for the DFT cell and can differ from measured ones.

Crystal structure
```
data_Cs11K17Rb
_chemical_formula_sum 'Cs22 K34 Rb2'
_cell_length_a 17.2758
_cell_length_b 24.4345
_cell_length_c 14.8759
_cell_angle_alpha 90.00
_cell_angle_beta 125.16
_cell_angle_gamma 90.00
_symmetry_space_group_name_H-M 'C 1 m 1'
_symmetry_Int_Tables_number 8
_symmetry_space_group_name_Hall 'C -2y'
loop_
_atom_site_label
_atom_site_type_symbol
_atom_site_fract_x
_atom_site_fract_y
_atom_site_fract_z
_atom_site_occupancy
Cs1 Cs 0.0000 0.0000 0.0000 1
Cs2 Cs 0.0106 0.4053 0.1838 1
Cs3 Cs 0.0899 0.0973 0.5639 1
Cs4 Cs 0.1096 0.3065 0.9867 1
Cs5 Cs 0.2049 0.4017 0.7977 1
Cs6 Cs 0.3066 0.3070 0.3814 1
K1 K 0.0968 0.2945 0.4998 1
K2 K 0.2108 0.0000 0.9080 1
K3 K 0.2542 0.1346 0.1867 1
K4 K 0.2808 0.2045 0.8663 1
K5 K 0.3009 0.5000 0.5495 1
K6 K 0.3040 0.5000 0.1844 1
K7 K 0.3687 0.1551 0.5899 1
K8 K 0.4355 0.0000 0.8160 1
K9 K 0.4614 0.3423 0.7725 1
K10 K 0.4803 0.0000 0.4568 1
K11 K 0.4864 0.3179 0.1844 1
Rb1 Rb 0.1889 0.0000 0.3729 1
```

Most intense lines, 2θ from 10° to 90°, in order of rising 2θ:
12.57 deg, I = 68, hkl 1 1 -2; 20.59 deg, I = 17, hkl 4 0 -2; 21.84 deg, I = 100, hkl 1 5 1; 21.92 deg, I = 23, hkl 1 3 -3; 24.16 deg, I = 73, hkl 3 5 -1; 24.30 deg, I = 24, hkl 2 0 -4; 26.31 deg, I = 51, hkl 4 4 -3; 26.40 deg, I = 25, hkl 1 5 -3; 36.77 deg, I = 26, hkl 5 5 0; 36.92 deg, I = 22, hkl 5 5 -5


# 2
For ScBiPd14, a crystal structure in Alexandria, relaxed with PBE gives the simulated powder diffraction line list in this record (CuKα).
Peak positions follow from Bragg's law for the DFT cell and can differ from measured ones.

Crystal structure
```
data_ScBiPd14
_chemical_formula_sum 'Sc1 Bi1 Pd14'
_cell_length_a 5.7145
_cell_length_b 5.7145
_cell_length_c 7.8978
_cell_angle_alpha 90.00
_cell_angle_beta 90.00
_cell_angle_gamma 90.00
_symmetry_space_group_name_H-M 'P 4/m m m'
_symmetry_Int_Tables_number 123
_symmetry_space_group_name_Hall '-P 4 2'
loop_
_atom_site_label
_atom_site_type_symbol
_atom_site_fract_x
_atom_site_fract_y
_atom_site_fract_z
_atom_site_occupancy
Sc1 Sc 0.0000 0.0000 0.0000 1
Bi1 Bi 0.5000 0.5000 0.0000 1
Pd1 Pd 0.0000 0.0000 0.5000 1
Pd2 Pd 0.0000 0.5000 0.0000 1
Pd3 Pd 0.0000 0.5000 0.5000 1
Pd4 Pd 0.2465 0.2465 0.2535 1
Pd5 Pd 0.5000 0.5000 0.5000 1
```

Most intense lines, 2θ from 10° to 90°, in order of rising 2θ:
15.51 deg, I = 3, hkl 1 0 0; 19.17 deg, I = 5, hkl 1 0 1; 38.91 deg, I = 100, hkl 2 0 2; 44.86 deg, I = 33, hkl 2 2 0; 45.96 deg, I = 15, hkl 0 0 4; 65.32 deg, I = 11, hkl 4 0 0; 66.18 deg, I = 20, hkl 2 2 4; 78.71 deg, I = 25, hkl 4 2 2; 80.31 deg, I = 12, hkl 2 0 6; 83.53 deg, I = 11, hkl 4 0 4


# 3
For DyMgHgRh, a crystal structure in Alexandria, relaxed with PBE gives the simulated powder diffraction line list in this record (CuKα).
Peak positions follow from Bragg's law for the DFT cell and can differ from measured ones.

Crystal structure
```
data_DyMgHgRh
_chemical_formula_sum 'Dy4 Mg4 Hg4 Rh4'
_cell_length_a 6.8857
_cell_length_b 6.8857
_cell_length_c 6.8857
_cell_angle_alpha 90.00
_cell_angle_beta 90.00
_cell_angle_gamma 90.00
_symmetry_space_group_name_H-M 'F -4 3 m'
_symmetry_Int_Tables_number 216
_symmetry_space_group_name_Hall 'F -4 2 3'
loop_
_atom_site_label
_atom_site_type_symbol
_atom_site_fract_x
_atom_site_fract_y
_atom_site_fract_z
_atom_site_occupancy
Dy1 Dy 0.0000 0.0000 0.0000 1
Mg1 Mg 0.0000 0.0000 0.5000 1
Hg1 Hg 0.2500 0.2500 0.7500 1
Rh1 Rh 0.2500 0.2500 0.2500 1
```

Most intense lines, 2θ from 10° to 90°, in order of rising 2θ:
22.36 deg, I = 26, hkl 1 1 1; 25.88 deg, I = 7, hkl 2 0 0; 36.92 deg, I = 100, hkl 2 2 0; 43.59 deg, I = 14, hkl 3 1 1; 53.21 deg, I = 18, hkl 4 0 0; 58.42 deg, I = 6, hkl 3 3 1; 66.53 deg, I = 36, hkl 4 2 2; 71.15 deg, I = 5, hkl 5 1 1; 78.59 deg, I = 11, hkl 4 4 0; 82.96 deg, I = 5, hkl 5 3 1


# 4
For Y2ErSc2, a crystal structure in Alexandria, relaxed with PBE gives the simulated powder diffraction line list in this record (CuKα).
Peak positions follow from Bragg's law for the DFT cell and can differ from measured ones.

Crystal structure
```
data_Y2ErSc2
_chemical_formula_sum 'Y8 Er4 Sc8'
_cell_length_a 9.2806
_cell_length_b 9.3787
_cell_length_c 6.7274
_cell_angle_alpha 90.00
_cell_angle_beta 93.04
_cell_angle_gamma 90.00
_symmetry_space_group_name_H-M 'C 1 c 1'
_symmetry_Int_Tables_number 9
_symmetry_space_group_name_Hall 'C -2yc'
loop_
_atom_site_label
_atom_site_type_symbol
_atom_site_fract_x
_atom_site_fract_y
_atom_site_fract_z
_atom_site_occupancy
Y1 Y 0.0000 0.0624 0.0000 1
Y2 Y 0.3299 0.1161 0.3102 1
Er1 Er 0.1807 0.4272 0.0843 1
Sc1 Sc 0.1663 0.2410 0.6821 1
Sc2 Sc 0.4550 0.2124 0.8631 1
```

Most intense lines, 2θ from 10° to 90°, in order of rising 2θ:
13.43 deg, I = 24, hkl 1 1 0; 18.50 deg, I = 14, hkl 1 1 -1; 30.32 deg, I = 53, hkl 1 1 2; 30.47 deg, I = 59, hkl 3 1 0; 30.66 deg, I = 61, hkl 2 2 1; 32.07 deg, I = 41, hkl 2 0 -2; 32.83 deg, I = 100, hkl 1 3 -1; 44.85 deg, I = 12, hkl 0 2 3; 45.07 deg, I = 25, hkl 4 2 -1; 45.73 deg, I = 14, hkl 2 4 1


# 5
For Pr2Ga4Cu3Ge, a crystal structure in Alexandria, relaxed with PBE gives the simulated powder diffraction line list in this record (CuKα).
Peak positions follow from Bragg's law for the DFT cell and can differ from measured ones.

Crystal structure
```
data_Pr2Ga4Cu3Ge
_chemical_formula_sum 'Pr2 Ga4 Cu3 Ge1'
_cell_length_a 4.2310
_cell_length_b 4.2310
_cell_length_c 10.4313
_cell_angle_alpha 90.00
_cell_angle_beta 90.00
_cell_angle_gamma 90.00
_symmetry_space_group_name_H-M 'P -4 m 2'
_symmetry_Int_Tables_number 115
_symmetry_space_group_name_Hall 'P -4 -2'
loop_
_atom_site_label
_atom_site_type_symbol
_atom_site_fract_x
_atom_site_fract_y
_atom_site_fract_z
_atom_site_occupancy
Pr1 Pr 0.0000 0.5000 0.2463 1
Ga1 Ga 0.0000 0.0000 0.0000 1
Ga2 Ga 0.0000 0.5000 0.6430 1
Ga3 Ga 0.5000 0.5000 0.0000 1
Cu1 Cu 0.0000 0.5000 0.8732 1
Cu2 Cu 0.5000 0.5000 0.5000 1
Ge1 Ge 0.0000 0.0000 0.5000 1
```

Most intense lines, 2θ from 10° to 90°, in order of rising 2θ:
29.86 deg, I = 15, hkl 1 1 0; 33.35 deg, I = 57, hkl 1 0 3; 34.56 deg, I = 100, hkl 1 1 2; 42.74 deg, I = 55, hkl 2 0 0; 48.66 deg, I = 28, hkl 1 0 5; 55.27 deg, I = 27, hkl 2 1 3; 62.04 deg, I = 17, hkl 2 2 0; 66.74 deg, I = 21, hkl 2 1 5; 73.00 deg, I = 22, hkl 3 1 2; 87.98 deg, I = 11, hkl 2 0 8


# 6
For LiLa2Sm2Au4, a crystal structure in Alexandria, relaxed with PBE gives the simulated powder diffraction line list in this record (CuKα).
Peak positions follow from Bragg's law for the DFT cell and can differ from measured ones.

Crystal structure
```
data_LiLa2Sm2Au4
_chemical_formula_sum 'Li2 La4 Sm4 Au8'
_cell_length_a 7.2296
_cell_length_b 7.2296
_cell_length_c 8.5787
_cell_angle_alpha 90.00
_cell_angle_beta 90.00
_cell_angle_gamma 90.00
_symmetry_space_group_name_H-M 'I 4/m m m'
_symmetry_Int_Tables_number 139
_symmetry_space_group_name_Hall '-I 4 2'
loop_
_atom_site_label
_atom_site_type_symbol
_atom_site_fract_x
_atom_site_fract_y
_atom_site_fract_z
_atom_site_occupancy
Li1 Li 0.0000 0.0000 0.0000 1
La1 La 0.0000 0.5000 0.2500 1
Sm1 Sm 0.0000 0.0000 0.3153 1
Au1 Au 0.2443 0.2443 0.0000 1
```

Most intense lines, 2θ from 10° to 90°, in order of rising 2θ:
32.39 deg, I = 100, hkl 2 0 2; 35.11 deg, I = 47, hkl 2 2 0; 42.15 deg, I = 13, hkl 0 0 4; 49.42 deg, I = 6, hkl 2 0 4; 50.50 deg, I = 17, hkl 4 0 0; 55.98 deg, I = 18, hkl 2 2 4; 61.28 deg, I = 32, hkl 4 2 2; 67.81 deg, I = 8, hkl 4 0 4; 83.30 deg, I = 7, hkl 6 0 2; 84.82 deg, I = 8, hkl 6 2 0